Structure and computed X-ray powder pattern of Zr4Hg (a DFT-relaxed cell (PBE, Alexandria); copper Kα).
No peak broadening, texture or thermal motion is included.

Peak list (6 most intense, 2θ = 5–70°, sorted by position)
2θ/deg, d [Å], I/Imax
34.75, 2.582, 100
39.30, 2.293, 37
42.37, 2.134, 14
56.79, 1.621, 12
59.15, 1.562, 22
68.32, 1.373, 27

```
data_Zr4Hg
_symmetry_space_group_name_H-M 'I 4/m'
_symmetry_Int_Tables_number 87
_symmetry_space_group_name_Hall '-I 4'
_cell_length_a 7.2499
_cell_length_b 7.2499
_cell_length_c 4.2670
_cell_angle_alpha 90.00
_cell_angle_beta 90.00
_cell_angle_gamma 90.00
loop_
_atom_site_label
_atom_site_type_symbol
_atom_site_fract_x
_atom_site_fract_y
_atom_site_fract_z
_atom_site_occupancy
Zr1 Zr 0.1114 0.3079 0.0000 1
Hg1 Hg 0.0000 0.0000 0.5000 1
```

=====

Structure and computed X-ray powder pattern of Ac3Rh4Pb7 (a DFT-relaxed cell (PBE, Alexandria); copper Kα).
No peak broadening, texture or thermal motion is included.

Peak list (6 most intense, 2θ = 5–70°, sorted by position)
2θ/deg, d [Å], I/Imax
30.52, 2.929, 100
32.11, 2.788, 100
36.17, 2.484, 44
38.16, 2.358, 57
53.59, 1.710, 29
61.36, 1.511, 23

```
data_Ac3Rh4Pb7
_symmetry_space_group_name_H-M 'C 1 2/m 1'
_symmetry_Int_Tables_number 12
_cell_length_a 17.5312
_cell_length_b 4.7168
_cell_length_c 10.4080
_cell_angle_alpha 90.00
_cell_angle_beta 121.79
_cell_angle_gamma 90.00
loop_
_symmetry_equiv_pos_as_xyz
'x,y,z'
'-x,-y,-z'
'-x,y,-z'
'x,-y,z'
'x+1/2,y+1/2,z'
'-x+1/2,-y+1/2,-z'
'-x+1/2,y+1/2,-z'
'x+1/2,-y+1/2,z'
loop_
_atom_site_label
_atom_site_type_symbol
_atom_site_fract_x
_atom_site_fract_y
_atom_site_fract_z
_atom_site_occupancy
Ac1 Ac 0.0000 0.0000 0.0000 1
Ac2 Ac 0.1844 0.5000 0.6995 1
Rh1 Rh 0.1165 0.0000 0.8540 1
Rh2 Rh 0.1656 0.5000 0.2835 1
Pb1 Pb 0.0000 0.0000 0.5000 1
Pb2 Pb 0.0042 0.5000 0.2712 1
Pb3 Pb 0.1676 0.0000 0.4301 1
Pb4 Pb 0.1851 0.5000 0.0383 1
```